# 1
Simulated PXRD pattern of La6Co13Ge for CuKα, from a structure optimized by DFT (GGA-PBE).
Lines closer than 0.1° are merged.

Atomic structure:
```
La6Co13Ge
1.0
-4.006 4.006 11.340
4.006 -4.006 11.340
4.006 4.006 -11.340
La Co Ge
12 26 2
direct
0.019 0.519 0.169
0.104 0.104 0.000
0.150 0.981 0.500
0.350 0.850 0.831
0.396 0.396 0.000
0.481 0.650 0.500
0.519 0.350 0.500
0.604 0.604 0.000
0.650 0.150 0.169
0.850 0.019 0.500
0.896 0.896 0.000
0.981 0.481 0.831
0.000 0.500 0.500
0.023 0.296 0.500
0.065 0.213 0.278
0.120 0.620 0.854
0.204 0.477 0.500
0.213 0.935 0.148
0.234 0.734 0.854
0.266 0.120 0.500
0.287 0.435 0.722
0.296 0.796 0.273
0.380 0.234 0.500
0.435 0.713 0.148
0.477 0.977 0.273
0.500 0.000 0.500
0.523 0.023 0.727
0.565 0.287 0.852
0.620 0.766 0.500
0.704 0.204 0.727
0.713 0.565 0.278
0.734 0.880 0.500
0.766 0.266 0.146
0.787 0.065 0.852
0.796 0.523 0.500
0.880 0.380 0.146
0.935 0.787 0.722
0.977 0.704 0.500
0.250 0.250 0.000
0.750 0.750 0.000
```

The 12 most intense peaks (2θ from 15° to 90°), in order of falling intensity:
d [Å]	intensity
2.534	100
2.314	71
3.238	65
2.812	61
2.061	40
1.936	38
2.749	28
1.889	28
1.572	27
2.833	26
2.268	25
1.792	20


# 2
Simulated PXRD pattern of La2CoNiGe4 for CuKα, from a structure optimized by DFT (GGA-PBE).
Lines closer than 0.1° are merged.

Atomic structure:
```
La2CoNiGe4
1.0
4.277 0.000 0.000
0.000 2.168 8.442
0.000 -2.168 8.442
La Co Ni Ge
2 1 1 4
direct
0.000 0.000 0.000
0.500 0.218 0.218
0.500 0.425 0.425
0.000 0.791 0.791
0.000 0.360 0.360
0.000 0.652 0.652
0.500 0.563 0.563
0.500 0.860 0.860
```

The 12 most intense peaks (2θ from 15° to 90°), in order of falling intensity:
d [Å]	intensity
2.678	100
2.664	36
2.351	32
2.168	31
2.139	29
2.998	23
1.522	20
1.594	19
1.668	17
1.722	13
1.892	13
1.341	11


# 3
Simulated PXRD pattern of LaPrCo2Ge4 for CuKα, from a structure optimized by DFT (GGA-PBE).
Lines closer than 0.1° are merged.

Atomic structure:
```
LaPrCo2Ge4
1.0
4.301 0.000 0.000
0.000 4.275 0.000
-2.112 0.000 8.392
La Pr Co Ge
1 1 2 4
direct
0.000 0.000 0.000
0.767 0.500 0.563
0.208 0.000 0.416
0.559 0.500 0.148
0.127 0.500 0.284
0.327 0.000 0.690
0.439 0.500 0.871
0.642 0.000 0.282
```

The 12 most intense peaks (2θ from 15° to 90°), in order of falling intensity:
d [Å]	intensity
2.666	100
2.341	31
2.151	30
2.138	29
2.640	20
1.516	19
2.652	15
2.987	15
1.587	12
1.883	11
1.661	9
2.982	8


# 4
Simulated PXRD pattern of LiCoGeS3 for CuKα, from a structure optimized by DFT (GGA-PBE).
Lines closer than 0.1° are merged.

Atomic structure:
```
LiCoGeS3
1.0
5.813 0.000 0.000
0.000 3.484 0.000
-2.209 0.000 10.073
Li Co Ge S
2 2 2 6
direct
0.049 0.250 0.150
0.951 0.750 0.850
0.450 0.750 0.856
0.550 0.250 0.144
0.357 0.250 0.561
0.643 0.750 0.439
0.167 0.750 0.658
0.287 0.250 0.949
0.367 0.750 0.230
0.633 0.250 0.770
0.713 0.750 0.051
0.833 0.250 0.342
```

The 12 most intense peaks (2θ from 15° to 90°), in order of falling intensity:
d [Å]	intensity
5.678	100
2.694	91
1.743	47
2.652	46
2.152	33
5.473	23
2.079	23
1.970	17
1.593	16
1.456	14
1.999	11
2.123	10